Starting from a GGA+U-relaxed structure, the powder X-ray diffraction pattern of LiFeBO3 was computed for a wavelength of 1.5418 Å.
No peak broadening, texture or thermal motion is included.

Crystal structure
Unit cell a=5.220 b=9.034 c=10.349 alpha=90.00 beta=91.57 gamma=90.00
Space group Cc (No. 9)
Asymmetric unit:
Li  0.000  0.007  0.000
Li  0.173  0.490  0.249
Fe  0.006  0.335  0.530
Fe  0.181  0.160  0.282
B  0.003  0.332  0.040
B  0.172  0.168  0.789
O  0.022  0.042  0.803
O  0.060  0.301  0.749
O  0.116  0.196  0.069
O  0.149  0.460  0.053
O  0.247  0.159  0.499
O  0.434  0.162  0.819

The 8 most intense peaks (10 to 90 degrees two-theta), low angle first:
- 2θ = 19.65°, 4.517 Å, rel. 67, (0 2 0)
- 2θ = 21.47°, 4.139 Å, rel. 41, (0 2 1)
- 2θ = 21.65°, 4.105 Å, rel. 67, (1 1 1)
- 2θ = 25.87°, 3.443 Å, rel. 47, (1 1 -2)
- 2θ = 26.50°, 3.364 Å, rel. 31, (1 1 2)
- 2θ = 34.38°, 2.608 Å, rel. 88, (1 3 0)
- 2θ = 34.69°, 2.586 Å, rel. 100, (0 0 4)
- 2θ = 40.67°, 2.218 Å, rel. 49, (2 2 -1)